Structure and calculated powder X-ray diffraction pattern of Sm3Th (a structure optimized by DFT (GGA-PBE); Cu Kα (λ = 1.5418 Å)).
Peak positions follow from Bragg's law for the DFT cell and can differ from measured ones.

Peak list (10 most intense, 2θ = 10–80°, in order of rising 2θ)
19.4°, rel. 3
30.3°, rel. 100
31.6°, rel. 1
35.1°, rel. 51
40.4°, rel. 1
47.9°, rel. 1
50.5°, rel. 37
60.0°, rel. 44
63.0°, rel. 13
74.2°, rel. 6

Crystal structure
a = 6.258 Å, b = 6.258 Å, c = 6.258 Å
α = 131.79°, β = 131.79°, γ = 70.56°
Fractional coordinates of all 4 atoms:
Sm 0.000 0.000 0.000
Sm 0.250 0.750 0.500
Sm 0.750 0.250 0.500
Th 0.500 0.500 0.000

---

Structure and calculated powder X-ray diffraction pattern of SmTh (a structure optimized by DFT (GGA-PBE); Cu Kα (λ = 1.5418 Å)).
Peak positions follow from Bragg's law for the DFT cell and can differ from measured ones.

Peak list (10 most intense, 2θ = 10–80°, in order of rising 2θ)
30.2°, rel. 34
30.6°, rel. 100
35.4°, rel. 68
50.6°, rel. 25
51.1°, rel. 24
60.1°, rel. 16
60.5°, rel. 30
60.8°, rel. 15
63.7°, rel. 13
74.8°, rel. 8

Crystal structure
a = 6.265 Å, b = 6.265 Å, c = 6.265 Å
α = 33.14°, β = 33.14°, γ = 33.14°
Fractional coordinates of all 2 atoms:
Sm 0.000 0.000 0.000
Th 0.500 0.500 0.500

---

Structure and calculated powder X-ray diffraction pattern of Sm5Tl3 (a structure optimized by DFT (GGA-PBE); Cu Kα (λ = 1.5418 Å)).
Peak positions follow from Bragg's law for the DFT cell and can differ from measured ones.

Peak list (10 most intense, 2θ = 10–80°, in order of rising 2θ)
28.3°, rel. 20
29.5°, rel. 48
31.8°, rel. 60
32.1°, rel. 68
32.9°, rel. 100
35.0°, rel. 32
40.7°, rel. 22
41.6°, rel. 25
53.1°, rel. 26
61.2°, rel. 24

Crystal structure
a = 9.356 Å, b = 9.356 Å, c = 9.356 Å
α = 96.51°, β = 96.51°, γ = 140.66°
Fractional coordinates of all 16 atoms:
Sm 0.085 0.782 0.866
Sm 0.218 0.085 0.303
Sm 0.250 0.750 0.500
Sm 0.282 0.585 0.866
Sm 0.415 0.282 0.697
Sm 0.585 0.718 0.303
Sm 0.718 0.415 0.134
Sm 0.750 0.250 0.500
Sm 0.782 0.915 0.697
Sm 0.915 0.218 0.134
Tl 0.161 0.339 0.500
Tl 0.250 0.250 0.000
Tl 0.339 0.839 0.179
Tl 0.661 0.161 0.821
Tl 0.750 0.750 0.000
Tl 0.839 0.661 0.500

---

Structure and calculated powder X-ray diffraction pattern of SmTl (a structure optimized by DFT (GGA-PBE); Cu Kα (λ = 1.5418 Å)).
Peak positions follow from Bragg's law for the DFT cell and can differ from measured ones.

Peak list (10 most intense, 2θ = 10–80°, in order of rising 2θ)
24.4°, rel. 2
32.1°, rel. 100
34.7°, rel. 41
41.8°, rel. 12
49.9°, rel. 15
55.5°, rel. 22
60.6°, rel. 33
67.1°, rel. 12
70.3°, rel. 11
73.3°, rel. 5

Crystal structure
a = 3.653 Å, b = 3.653 Å, c = 4.319 Å
α = 90.00°, β = 90.00°, γ = 90.00°
Fractional coordinates of all 2 atoms:
Sm 0.000 0.000 0.000
Tl 0.500 0.500 0.500

---

Structure and calculated powder X-ray diffraction pattern of Sm2Tl (a structure optimized by DFT (GGA-PBE); Cu Kα (λ = 1.5418 Å)).
Peak positions follow from Bragg's law for the DFT cell and can differ from measured ones.

Peak list (10 most intense, 2θ = 10–80°, in order of rising 2θ)
25.9°, rel. 9
32.0°, rel. 87
32.4°, rel. 100
41.9°, rel. 16
46.2°, rel. 32
57.6°, rel. 33
57.8°, rel. 19
63.7°, rel. 29
67.9°, rel. 12
77.0°, rel. 14

Crystal structure
a = 5.525 Å, b = 5.525 Å, c = 6.883 Å
α = 90.00°, β = 90.00°, γ = 120.00°
Fractional coordinates of all 6 atoms:
Sm 0.000 0.000 0.000
Sm 0.000 0.000 0.500
Sm 0.333 0.667 0.250
Sm 0.667 0.333 0.750
Tl 0.333 0.667 0.750
Tl 0.667 0.333 0.250

---

Structure and calculated powder X-ray diffraction pattern of SmTl3 (a structure optimized by DFT (GGA-PBE); Cu Kα (λ = 1.5418 Å)).
Peak positions follow from Bragg's law for the DFT cell and can differ from measured ones.

Peak list (10 most intense, 2θ = 10–80°, in order of rising 2θ)
18.4°, rel. 1
26.2°, rel. 1
32.2°, rel. 100
37.3°, rel. 51
41.9°, rel. 1
46.1°, rel. 1
53.8°, rel. 36
64.1°, rel. 43
67.3°, rel. 12
79.6°, rel. 6

Crystal structure
a = 4.818 Å, b = 4.818 Å, c = 4.818 Å
α = 90.00°, β = 90.00°, γ = 90.00°
Fractional coordinates of all 4 atoms:
Sm 0.000 0.000 0.000
Tl 0.000 0.500 0.500
Tl 0.500 0.000 0.500
Tl 0.500 0.500 0.000

---

Structure and calculated powder X-ray diffraction pattern of SmTl (a structure optimized by DFT (GGA-PBE); Cu Kα (λ = 1.5418 Å)).
Peak positions follow from Bragg's law for the DFT cell and can differ from measured ones.

Peak list (9 most intense, 2θ = 10–80°, in order of rising 2θ)
23.0°, rel. 2
32.7°, rel. 100
40.4°, rel. 1
47.0°, rel. 18
52.9°, rel. 1
58.4°, rel. 39
68.6°, rel. 12
73.4°, rel. 1
78.1°, rel. 17

Crystal structure
a = 3.870 Å, b = 3.870 Å, c = 3.870 Å
α = 90.00°, β = 90.00°, γ = 90.00°
Fractional coordinates of all 2 atoms:
Sm 0.000 0.000 0.000
Tl 0.500 0.500 0.500

---

Structure and calculated powder X-ray diffraction pattern of SmTmTl2 (a structure optimized by DFT (GGA-PBE); Cu Kα (λ = 1.5418 Å)).
Peak positions follow from Bragg's law for the DFT cell and can differ from measured ones.

Peak list (7 most intense, 2θ = 10–80°, in order of rising 2θ)
23.3°, rel. 1
33.2°, rel. 100
47.7°, rel. 18
53.7°, rel. 1
59.3°, rel. 39
69.7°, rel. 12
79.4°, rel. 17

Crystal structure
a = 5.396 Å, b = 5.396 Å, c = 5.396 Å
α = 60.00°, β = 60.00°, γ = 60.00°
Fractional coordinates of all 4 atoms:
Sm 0.000 0.000 0.000
Tm 0.500 0.500 0.500
Tl 0.250 0.250 0.250
Tl 0.750 0.750 0.750